Theoretical X-ray powder pattern of Li5Y4Au6 for Cu Kα, 1.54184 Å, from a DFT-relaxed cell (GGA-PBE, Alexandria).
Peak positions follow from Bragg's law for the DFT cell and can differ from measured ones.

Peak list (6 most intense, 2θ from 10° to 90°, by angle)
d (Å)  Position (°2θ)  I_rel
3.551  25.08  58
3.454  25.80  93
3.118  28.63  72
2.722  32.90  53
2.534  35.42  100
2.051  44.15  61

Structure:
Cell lengths 10.8471, 10.8471, 14.7697 Å; angles 90.00, 90.00, 158.19 degrees
Atoms (fractional coordinates):
Li (0.0514, 0.9486, 0.5000)
Li (0.1500, 0.8500, 0.8164)
Li (0.1731, 0.8269, 0.0964)
Li (0.1892, 0.8108, 0.4442)
Li (0.3271, 0.6729, 0.4589)
Li (0.6729, 0.3271, 0.9589)
Li (0.8108, 0.1892, 0.9442)
Li (0.8269, 0.1731, 0.5964)
Li (0.8500, 0.1500, 0.3164)
Li (0.9486, 0.0514, 0.0000)
Y (0.3214, 0.6786, 0.7710)
Y (0.3542, 0.6458, 0.1273)
Y (0.4594, 0.5406, 0.6099)
Y (0.4804, 0.5196, 0.3431)
Y (0.5196, 0.4804, 0.8431)
Y (0.5406, 0.4594, 0.1099)
Y (0.6458, 0.3542, 0.6273)
Y (0.6786, 0.3214, 0.2710)
Au (0.0530, 0.9470, 0.6925)
Au (0.0782, 0.9218, 0.2546)
Au (0.0790, 0.9210, 0.9684)
Au (0.2474, 0.7526, 0.6029)
Au (0.2756, 0.7244, 0.2947)
Au (0.3949, 0.6051, 0.9360)
Au (0.6051, 0.3949, 0.4360)
Au (0.7244, 0.2756, 0.7947)
Au (0.7526, 0.2474, 0.1029)
Au (0.9210, 0.0790, 0.4684)
Au (0.9218, 0.0782, 0.7546)
Au (0.9470, 0.0530, 0.1925)



Theoretical X-ray powder pattern of LiY3Au2 for Cu Kα, 1.54184 Å, from a DFT-relaxed cell (GGA-PBE, Alexandria).
Peak positions follow from Bragg's law for the DFT cell and can differ from measured ones.

Peak list (6 most intense, 2θ from 10° to 90°, by angle)
d (Å)  Position (°2θ)  I_rel
7.712  11.47  13
4.777  18.57  22
2.570  34.91  100
2.512  35.74  20
1.484  62.61  19
1.461  63.68  14

Structure:
Cell lengths 8.1104, 8.1104, 3.6767 Å; angles 90.00, 90.00, 143.91 degrees
Atoms (fractional coordinates):
Li (0.0000, 0.0000, 0.0000)
Y (0.1722, 0.8278, 0.5000)
Y (0.5000, 0.5000, 0.5000)
Y (0.8278, 0.1722, 0.5000)
Au (0.3462, 0.6538, 0.0000)
Au (0.6538, 0.3462, 0.0000)



Theoretical X-ray powder pattern of Li2Y3Au3 for Cu Kα, 1.54184 Å, from a DFT-relaxed cell (GGA-PBE, Alexandria).
Peak positions follow from Bragg's law for the DFT cell and can differ from measured ones.

Peak list (6 most intense, 2θ from 10° to 90°, by angle)
d (Å)  Position (°2θ)  I_rel
4.296  20.67  65
3.412  26.12  35
2.807  31.88  50
2.515  35.71  100
2.349  38.31  31
1.937  46.90  44

Structure:
Cell lengths 8.5929, 8.5929, 5.6123 Å; angles 90.00, 90.00, 120.00 degrees
Atoms (fractional coordinates):
Li (0.3333, 0.6667, 0.0000)
Li (0.3333, 0.6667, 0.5000)
Li (0.6667, 0.3333, 0.0000)
Li (0.6667, 0.3333, 0.5000)
Y (0.0000, 0.2552, 0.2500)
Y (0.0000, 0.7448, 0.7500)
Y (0.2552, 0.0000, 0.2500)
Y (0.2552, 0.2552, 0.7500)
Y (0.7448, 0.0000, 0.7500)
Y (0.7448, 0.7448, 0.2500)
Au (0.0000, 0.3962, 0.7500)
Au (0.0000, 0.6038, 0.2500)
Au (0.3962, 0.0000, 0.7500)
Au (0.3962, 0.3962, 0.2500)
Au (0.6038, 0.0000, 0.2500)
Au (0.6038, 0.6038, 0.7500)



Theoretical X-ray powder pattern of Li5ZnAu for Cu Kα, 1.54184 Å, from a DFT-relaxed cell (GGA-PBE, Alexandria).
Peak positions follow from Bragg's law for the DFT cell and can differ from measured ones.

Peak list (6 most intense, 2θ from 10° to 90°, by angle)
d (Å)  Position (°2θ)  I_rel
6.818  12.98  25
3.599  24.74  100
2.997  29.82  29
2.251  40.06  36
2.003  45.28  20
1.826  49.95  30

Structure:
Cell lengths 4.2378, 4.2378, 6.8181 Å; angles 90.00, 90.00, 90.11 degrees
Atoms (fractional coordinates):
Li (0.0000, 0.0000, 0.0000)
Li (0.0000, 0.5000, 0.2619)
Li (0.0000, 0.5000, 0.7381)
Li (0.5000, 0.0000, 0.2619)
Li (0.5000, 0.0000, 0.7381)
Zn (0.0000, 0.0000, 0.5000)
Au (0.5000, 0.5000, 0.0000)